(1)
Structure and calculated X-ray diffraction stick pattern of NdCd6 (a PBE-relaxed structure; Cu Kα (λ = 1.5418 Å)).

The 10 most intense peaks (5 to 70 degrees two-theta), low angle first:
Position (°2θ)	d (Å)	intensity
18.10	4.901	9
28.43	3.140	17
35.45	2.532	100
36.68	2.450	51
49.13	1.855	7
52.58	1.741	9
52.84	1.733	18
62.84	1.479	13
65.25	1.430	32
68.84	1.364	7

Structure:
```
7
Lattice="4.9006 0.0000 0.0000 0.0000 4.9006 0.0000 0.0000 0.0000 7.4182" Properties=species:S:1:pos:R:3 pbc="T T T"
Nd 0.0000 0.0000 0.0000
Cd 0.0000 0.0000 3.7091
Cd 0.0000 2.4503 2.1153
Cd 0.0000 2.4503 5.3029
Cd 2.4503 0.0000 2.1153
Cd 2.4503 0.0000 5.3029
Cd 2.4503 2.4503 0.0000
```

---

(2)
Structure and calculated X-ray diffraction stick pattern of NdCdNi4 (a PBE-relaxed structure; Cu Kα (λ = 1.5418 Å)).

The 8 most intense peaks (5 to 70 degrees two-theta), low angle first:
Position (°2θ)	d (Å)	intensity
21.57	4.120	6
24.96	3.568	1
35.58	2.523	54
41.99	2.152	100
43.96	2.060	20
56.19	1.637	2
63.91	1.457	19
68.30	1.373	30

Structure:
```
6
Lattice="0.0000 3.5679 3.5679 3.5679 0.0000 3.5679 3.5679 3.5679 0.0000" Properties=species:S:1:pos:R:3 pbc="T T T"
Nd 0.0000 0.0000 0.0000
Cd 1.7840 1.7840 1.7840
Ni 4.4510 2.6848 2.6848
Ni 2.6848 4.4510 2.6848
Ni 2.6848 2.6848 4.4510
Ni 4.4510 4.4510 4.4510
```

---

(3)
Structure and calculated X-ray diffraction stick pattern of Nd12CdNi6 (a PBE-relaxed structure; Cu Kα (λ = 1.5418 Å)).

The 10 most intense peaks (5 to 70 degrees two-theta), low angle first:
Position (°2θ)	d (Å)	intensity
28.07	3.179	42
30.81	2.902	36
33.35	2.687	100
35.73	2.513	13
37.98	2.369	10
46.04	1.971	22
53.13	1.724	34
54.79	1.675	14
56.43	1.631	33
65.68	1.422	17

Structure:
```
19
Lattice="-5.0260 5.0260 5.0260 5.0260 -5.0260 5.0260 5.0260 5.0260 -5.0260" Properties=species:S:1:pos:R:3 pbc="T T T"
Nd 5.0260 3.1573 -1.9475
Nd 3.0785 0.0000 1.8687
Nd 6.9735 0.0000 1.8687
Nd 1.8687 3.0785 0.0000
Nd 3.1573 -1.9475 5.0260
Nd 0.0000 1.8687 3.0785
Nd 5.0260 3.1573 1.9475
Nd 1.8687 6.9735 0.0000
Nd 3.1573 1.9475 5.0260
Nd -1.9475 5.0260 3.1573
Nd 1.9475 5.0260 3.1573
Nd 0.0000 1.8687 6.9735
Cd 0.0000 0.0000 0.0000
Ni 5.0260 1.2194 0.0000
Ni 5.0260 0.0000 3.8066
Ni 3.8066 5.0260 0.0000
Ni 1.2194 0.0000 5.0260
Ni 0.0000 5.0260 1.2194
Ni 0.0000 3.8066 5.0260
```

---

(4)
Structure and calculated X-ray diffraction stick pattern of Nd3CdNi8 (a PBE-relaxed structure; Cu Kα (λ = 1.5418 Å)).

The 10 most intense peaks (5 to 70 degrees two-theta), low angle first:
Position (°2θ)	d (Å)	intensity
21.32	4.167	7
34.99	2.564	37
35.21	2.549	38
41.25	2.188	34
41.47	2.178	100
43.44	2.083	19
63.04	1.475	13
63.18	1.472	7
67.30	1.391	15
67.43	1.389	15

Structure:
```
12
Lattice="2.5491 1.4717 8.3991 -2.5491 1.4717 8.3991 0.0000 -2.9435 8.3991" Properties=species:S:1:pos:R:3 pbc="T T T"
Nd 0.0000 0.0000 0.0000
Nd 0.0000 0.0000 3.2193
Nd 0.0000 0.0000 12.8704
Cd 0.0000 0.0000 15.9313
Ni -1.2826 -0.7405 10.0741
Ni 0.0000 -1.4596 5.9105
Ni -1.2641 0.7298 5.9105
Ni 0.0000 0.0000 7.9820
Ni 1.2641 0.7298 5.9105
Ni 1.2826 -0.7405 10.0741
Ni 0.0000 1.4810 10.0741
Ni 0.0000 0.0000 20.5930
```